Starting from a PBE-relaxed structure, the X-ray diffraction stick pattern of YHgPb3 was calculated for Cu Kα X-rays.
Neutral-atom scattering factors, no anomalous dispersion.

Top 12 peaks for 15 to 90 degrees two-theta, in order of rising 2θ:
3.342 Å, 26.67°, I 26
3.200 Å, 27.88°, I 24
3.004 Å, 29.74°, I 35
2.911 Å, 30.71°, I 23
2.708 Å, 33.07°, I 25
2.655 Å, 33.76°, I 100
2.647 Å, 33.86°, I 57
2.479 Å, 36.24°, I 15
2.045 Å, 44.30°, I 14
1.991 Å, 45.57°, I 22
1.721 Å, 53.22°, I 29
1.371 Å, 68.44°, I 13

Structure:
Lattice parameters (Å, degrees): 5.3161 6.4007 9.0917 90.00 106.87 90.00
Atoms (fractional coordinates):
Y1 0.0570 0.2500 0.1146
Y2 0.9430 0.7500 0.8854
Hg1 0.3389 0.7500 0.6727
Hg2 0.6611 0.2500 0.3273
Pb1 0.1423 0.7500 0.2724
Pb2 0.2458 0.2500 0.4992
Pb3 0.5000 0.0000 0.0000
Pb4 0.5000 0.5000 0.0000
Pb5 0.7542 0.7500 0.5008
Pb6 0.8577 0.2500 0.7276

=====

Starting from a PBE-relaxed structure, the X-ray diffraction stick pattern of Ho5Fe2I2 was calculated for Cu Kα X-rays.
Neutral-atom scattering factors, no anomalous dispersion.

Top 12 peaks for 15 to 90 degrees two-theta, in order of rising 2θ:
3.387 Å, 26.31°, I 37
3.319 Å, 26.86°, I 39
2.898 Å, 30.86°, I 23
2.847 Å, 31.42°, I 66
2.813 Å, 31.81°, I 100
2.677 Å, 33.47°, I 36
2.637 Å, 34.00°, I 60
2.386 Å, 37.71°, I 55
2.371 Å, 37.96°, I 95
1.682 Å, 54.56°, I 24
1.576 Å, 58.56°, I 45
1.473 Å, 63.13°, I 45

Structure:
Lattice parameters (Å, degrees): 9.2191 9.2191 7.5694 90.00 90.00 48.51
Atoms (fractional coordinates):
Ho1 0.0000 0.0000 0.0000
Ho2 0.0581 0.7309 0.6633
Ho3 0.2309 0.5581 0.1633
Ho4 0.2691 0.9419 0.6633
Ho5 0.4419 0.7691 0.1633
Ho6 0.5000 0.5000 0.5000
Ho7 0.5581 0.2309 0.8367
Ho8 0.7309 0.0581 0.3367
Ho9 0.7691 0.4419 0.8367
Ho10 0.9419 0.2691 0.3367
Fe1 0.1201 0.8799 0.3815
Fe2 0.3799 0.6201 0.8815
Fe3 0.6201 0.3799 0.1185
Fe4 0.8799 0.1201 0.6185
I1 0.2173 0.2173 0.0000
I2 0.2827 0.2827 0.5000
I3 0.7173 0.7173 0.5000
I4 0.7827 0.7827 0.0000

=====

Starting from a PBE-relaxed structure, the X-ray diffraction stick pattern of MnIn2Sb2Au7 was calculated for Cu Kα X-rays.
Neutral-atom scattering factors, no anomalous dispersion.

Top 12 peaks for 15 to 90 degrees two-theta, in order of rising 2θ:
4.190 Å, 21.20°, I 28
4.023 Å, 22.10°, I 34
2.824 Å, 31.68°, I 77
2.549 Å, 35.20°, I 57
2.395 Å, 37.56°, I 30
2.365 Å, 38.05°, I 60
2.178 Å, 41.46°, I 100
2.026 Å, 44.73°, I 77
1.547 Å, 59.80°, I 31
1.433 Å, 65.12°, I 25
1.256 Å, 75.76°, I 29
1.197 Å, 80.21°, I 22

Structure:
Lattice parameters (Å, degrees): 4.0518 4.0518 17.0024 96.81 96.81 89.98
Atoms (fractional coordinates):
Mn1 0.0000 0.0000 0.0000
In1 0.3789 0.3789 0.7526
In2 0.6211 0.6211 0.2474
Sb1 0.2116 0.2116 0.4256
Sb2 0.7884 0.7884 0.5744
Au1 0.0618 0.5615 0.1264
Au2 0.2962 0.2962 0.5909
Au3 0.4385 0.9382 0.8736
Au4 0.5000 0.5000 0.0000
Au5 0.5615 0.0618 0.1264
Au6 0.7038 0.7038 0.4091
Au7 0.9382 0.4385 0.8736

=====

Please write out number 2 again, unchanged.
Starting from a PBE-relaxed structure, the X-ray diffraction stick pattern of Ho5Fe2I2 was calculated for Cu Kα X-rays.
Neutral-atom scattering factors, no anomalous dispersion.

Top 12 peaks for 15 to 90 degrees two-theta, in order of rising 2θ:
3.387 Å, 26.31°, I 37
3.319 Å, 26.86°, I 39
2.898 Å, 30.86°, I 23
2.847 Å, 31.42°, I 66
2.813 Å, 31.81°, I 100
2.677 Å, 33.47°, I 36
2.637 Å, 34.00°, I 60
2.386 Å, 37.71°, I 55
2.371 Å, 37.96°, I 95
1.682 Å, 54.56°, I 24
1.576 Å, 58.56°, I 45
1.473 Å, 63.13°, I 45

Structure:
Lattice parameters (Å, degrees): 9.2191 9.2191 7.5694 90.00 90.00 48.51
Atoms (fractional coordinates):
Ho1 0.0000 0.0000 0.0000
Ho2 0.0581 0.7309 0.6633
Ho3 0.2309 0.5581 0.1633
Ho4 0.2691 0.9419 0.6633
Ho5 0.4419 0.7691 0.1633
Ho6 0.5000 0.5000 0.5000
Ho7 0.5581 0.2309 0.8367
Ho8 0.7309 0.0581 0.3367
Ho9 0.7691 0.4419 0.8367
Ho10 0.9419 0.2691 0.3367
Fe1 0.1201 0.8799 0.3815
Fe2 0.3799 0.6201 0.8815
Fe3 0.6201 0.3799 0.1185
Fe4 0.8799 0.1201 0.6185
I1 0.2173 0.2173 0.0000
I2 0.2827 0.2827 0.5000
I3 0.7173 0.7173 0.5000
I4 0.7827 0.7827 0.0000

=====

- Which formula does entry 3 have?
  MnIn2Sb2Au7